Structure and calculated PXRD pattern of Cs2WCl5O (DFT lattice parameters and positions (GGA+U); Cu Kα (weighted mean of Kα1 and Kα2)).
Intensities are scaled so that the largest is 100.

Structural model:
```
data_Cs2WCl5O
_symmetry_space_group_name_H-M 'I 4 m m'
_symmetry_Int_Tables_number 107
_symmetry_space_group_name_Hall 'I 4 -2'
_cell_length_a 7.396
_cell_length_b 7.396
_cell_length_c 10.685
_cell_angle_alpha 90.00
_cell_angle_beta 90.00
_cell_angle_gamma 90.00
loop_
_atom_site_label
_atom_site_type_symbol
_atom_site_fract_x
_atom_site_fract_y
_atom_site_fract_z
Cs1 Cs 0.000 0.500 0.000
W1 W 0.000 0.000 0.233
Cl1 Cl 0.000 0.000 0.471
Cl2 Cl 0.233 0.233 0.251
O1 O 0.000 0.000 0.069
```

Top 10 peaks for 10 to 90 degrees two-theta, most intense first:
2θ 23.81, rel. 100
2θ 14.57, rel. 90
2θ 34.29, rel. 50
2θ 42.18, rel. 43
2θ 24.06, rel. 38
2θ 48.73, rel. 31
2θ 29.37, rel. 29
2θ 28.24, rel. 27
2θ 33.55, rel. 24
2θ 49.28, rel. 17